(1)
Calculated X-ray diffraction stick pattern of CeZr11O24 for CuKα, from DFT lattice parameters and positions (GGA-PBE).

Cell and atoms:
```
data_CeZr11O24
_symmetry_space_group_name_H-M 'P 1'
_symmetry_Int_Tables_number 1
_cell_length_a 6.9100
_cell_length_b 7.4727
_cell_length_c 9.7309
_cell_angle_alpha 93.44
_cell_angle_beta 91.65
_cell_angle_gamma 116.37
loop_
_symmetry_equiv_pos_as_xyz
'x,y,z'
loop_
_atom_site_label
_atom_site_fract_x
_atom_site_fract_y
_atom_site_fract_z
Ce1 0.0000 0.0000 0.0000
Zr1 0.1541 0.3457 0.7344
Zr2 0.1901 0.8862 0.6902
Zr3 0.2955 0.1196 0.3801
Zr4 0.3258 0.6605 0.3316
Zr5 0.4901 0.0073 0.0733
Zr6 0.5194 0.5516 0.0270
Zr7 0.6234 0.7843 0.7059
Zr8 0.6612 0.3297 0.6653
Zr9 0.8205 0.6769 0.4037
Zr10 0.8560 0.2198 0.3619
Zr11 0.9528 0.4514 0.0421
O1 0.1872 0.8237 0.4573
O2 0.1916 0.3421 0.9583
O3 0.2093 0.3546 0.3527
O4 0.2330 0.0452 0.1697
O5 0.2652 0.9492 0.9018
O6 0.2704 0.6476 0.7091
O7 0.2859 0.6714 0.1105
O8 0.2964 0.1831 0.6115
O9 0.5197 0.4904 0.7879
O10 0.5283 0.9957 0.2989
O11 0.5433 0.0228 0.6839
O12 0.5540 0.7110 0.4961
O13 0.5930 0.6245 0.2377
O14 0.5955 0.3095 0.0431
O15 0.6154 0.8416 0.9433
O16 0.6231 0.3393 0.4411
O17 0.8442 0.1637 0.1280
O18 0.8579 0.6632 0.6268
O19 0.8665 0.6778 0.0211
O20 0.8859 0.3776 0.8300
O21 0.9279 0.2940 0.5713
O22 0.9394 0.9817 0.3801
O23 0.9569 0.0060 0.7636
O24 0.9599 0.5154 0.2808
```

Largest 10 diffraction maxima, low angle first, 2θ = 5–70°:
2θ/deg  Rel. int.
23.6  15
24.0  13
27.6  100
30.9  70
33.4  21
34.6  16
39.8  13
48.3  19
49.2  24
53.0  12

***

(2)
Calculated X-ray diffraction stick pattern of BaMgClF3 for CuKα, from DFT lattice parameters and positions (GGA-PBE).

Cell and atoms:
```
data_BaMgClF3
_symmetry_space_group_name_H-M 'C 1 2/c 1'
_symmetry_Int_Tables_number 15
_cell_length_a 7.3986
_cell_length_b 12.8991
_cell_length_c 5.5042
_cell_angle_alpha 90.00
_cell_angle_beta 112.27
_cell_angle_gamma 90.00
loop_
_symmetry_equiv_pos_as_xyz
'x,y,z'
'-x,-y,-z'
'-x,y,-z+1/2'
'x,-y,z+1/2'
'x+1/2,y+1/2,z'
'-x+1/2,-y+1/2,-z'
'-x+1/2,y+1/2,-z+1/2'
'x+1/2,-y+1/2,z+1/2'
loop_
_atom_site_label
_atom_site_fract_x
_atom_site_fract_y
_atom_site_fract_z
Ba1 0.0000 0.1611 0.2500
Mg1 0.0000 0.4515 0.7500
Cl1 0.0000 0.0781 0.7500
F1 0.0000 0.3036 0.7500
F2 0.1462 0.4398 0.5091
```

Largest 10 diffraction maxima, low angle first, 2θ = 5–70°:
2θ/deg  Rel. int.
14.6  40
18.6  61
22.2  92
24.4  100
26.0  97
32.9  43
35.1  51
35.2  31
37.8  50
43.6  45

***

(3)
Calculated X-ray diffraction stick pattern of Ba2Hf7O16 for CuKα, from DFT lattice parameters and positions (GGA-PBE).

Cell and atoms:
```
data_Ba2Hf7O16
_symmetry_space_group_name_H-M 'R -3'
_symmetry_Int_Tables_number 148
_symmetry_space_group_name_Hall '-R 3'
_cell_length_a 6.4727
_cell_length_b 6.4727
_cell_length_c 27.1532
_cell_angle_alpha 90.00
_cell_angle_beta 90.00
_cell_angle_gamma 120.00
loop_
_atom_site_label
_atom_site_fract_x
_atom_site_fract_y
_atom_site_fract_z
Ba1 0.0000 0.0000 0.1662
Hf1 0.0000 0.0000 0.5000
Hf2 0.0027 0.6355 0.3833
O1 0.0000 0.0000 0.0668
O2 0.0000 0.0000 0.2668
O3 0.0051 0.7384 0.4547
O4 0.0129 0.7276 0.6374
```

Largest 10 diffraction maxima, low angle first, 2θ = 5–70°:
2θ/deg  Rel. int.
9.8  10
29.3  100
29.6  31
34.1  48
48.7  27
49.1  27
57.9  12
58.1  25
58.4  14
60.8  9

***

(4)
Calculated X-ray diffraction stick pattern of Tb8Er3Tm for CuKα, from DFT lattice parameters and positions (GGA-PBE).

Cell and atoms:
```
data_Tb8Er3Tm
_symmetry_space_group_name_H-M 'I 4/m m m'
_symmetry_Int_Tables_number 139
_symmetry_space_group_name_Hall '-I 4 2'
_cell_length_a 7.6390
_cell_length_b 7.6390
_cell_length_c 15.2707
_cell_angle_alpha 90.00
_cell_angle_beta 90.00
_cell_angle_gamma 90.00
loop_
_atom_site_label
_atom_site_fract_x
_atom_site_fract_y
_atom_site_fract_z
Tb1 0.2501 0.2501 0.1249
Er1 0.0000 0.0000 0.0000
Er2 0.0000 0.5000 0.2500
Tm1 0.0000 0.0000 0.5000
```

Largest 10 diffraction maxima, low angle first, 2θ = 5–70°:
2θ/deg  Rel. int.
20.1  28
23.3  12
33.2  100
39.1  15
47.6  18
52.2  7
53.7  5
59.3  38
63.3  5
69.6  12

***

(5)
Calculated X-ray diffraction stick pattern of Cu2AsCl for CuKα, from DFT lattice parameters and positions (GGA-PBE).

Cell and atoms:
```
data_Cu2AsCl
_symmetry_space_group_name_H-M 'C 1 m 1'
_symmetry_Int_Tables_number 8
_cell_length_a 7.8157
_cell_length_b 3.4706
_cell_length_c 6.0063
_cell_angle_alpha 90.00
_cell_angle_beta 103.89
_cell_angle_gamma 90.00
loop_
_symmetry_equiv_pos_as_xyz
'x,y,z'
'x,-y,z'
'x+1/2,y+1/2,z'
'x+1/2,-y+1/2,z'
loop_
_atom_site_label
_atom_site_fract_x
_atom_site_fract_y
_atom_site_fract_z
Cu1 0.0000 0.0000 0.0000
Cu2 0.2402 0.5000 0.1802
As1 0.4647 0.0000 0.2878
Cl1 0.1280 0.0000 0.7140
```

Largest 10 diffraction maxima, low angle first, 2θ = 5–70°:
2θ/deg  Rel. int.
15.2  100
23.5  12
33.6  81
34.0  13
44.0  30
44.3  43
47.1  19
49.2  31
52.8  18
54.3  11

***

(6)
Calculated X-ray diffraction stick pattern of Dy4YHo3Se8 for CuKα, from DFT lattice parameters and positions (GGA-PBE).

Cell and atoms:
```
data_Dy4YHo3Se8
_symmetry_space_group_name_H-M 'R -3 m'
_symmetry_Int_Tables_number 166
_symmetry_space_group_name_Hall '-R 3 2"'
_cell_length_a 8.1370
_cell_length_b 8.1370
_cell_length_c 19.9513
_cell_angle_alpha 90.00
_cell_angle_beta 90.00
_cell_angle_gamma 120.00
loop_
_atom_site_label
_atom_site_fract_x
_atom_site_fract_y
_atom_site_fract_z
Dy1 0.0000 0.0000 0.0000
Dy2 0.0000 0.5000 0.0000
Y1 0.0000 0.0000 0.5000
Ho1 0.0000 0.5000 0.5000
Se1 0.0000 0.0000 0.2493
Se2 0.0013 0.5006 0.7504
```

Largest 10 diffraction maxima, low angle first, 2θ = 5–70°:
2θ/deg  Rel. int.
13.3  1
15.4  1
21.8  1
25.7  1
26.8  19
31.1  100
44.5  74
52.7  9
55.3  26
64.8  12